No. 1
Simulated powder diffractogram of Pu2CoNiGe6 for Cu Kα, from DFT lattice parameters and positions (PBE).
No peak broadening, texture or thermal motion is included.

```
data_Pu2CoNiGe6
_chemical_formula_sum 'Pu4 Co2 Ni2 Ge12'
_cell_length_a 12.135
_cell_length_b 12.135
_cell_length_c 12.135
_cell_angle_alpha 28.84
_cell_angle_beta 28.84
_cell_angle_gamma 28.84
_symmetry_space_group_name_H-M 'P 1'
_symmetry_Int_Tables_number 1
loop_
_symmetry_equiv_pos_as_xyz
'x,y,z'
loop_
_atom_site_label
_atom_site_fract_x
_atom_site_fract_y
_atom_site_fract_z
Pu1 0.113 0.113 0.113
Pu2 0.295 0.295 0.295
Pu3 0.705 0.705 0.705
Pu4 0.887 0.887 0.887
Co1 0.429 0.429 0.429
Co2 0.571 0.571 0.571
Ni1 0.000 0.000 0.000
Ni2 0.500 0.500 0.500
Ge1 0.075 0.654 0.654
Ge2 0.227 0.227 0.670
Ge3 0.227 0.670 0.227
Ge4 0.330 0.773 0.773
Ge5 0.346 0.346 0.925
Ge6 0.346 0.925 0.346
Ge7 0.654 0.075 0.654
Ge8 0.654 0.654 0.075
Ge9 0.670 0.227 0.227
Ge10 0.773 0.330 0.773
Ge11 0.773 0.773 0.330
Ge12 0.925 0.346 0.346
```

The 10 most intense peaks (10 to 90 degrees two-theta), in order of rising 2θ:
- 2θ 21.22, rel. 35
- 2θ 29.56, rel. 67
- 2θ 30.79, rel. 100
- 2θ 36.68, rel. 93
- 2θ 38.87, rel. 72
- 2θ 43.22, rel. 41
- 2θ 47.79, rel. 24
- 2θ 57.05, rel. 25
- 2θ 61.35, rel. 34
- 2θ 70.21, rel. 31



No. 2
Simulated powder diffractogram of Ta2CoNi7Ge2 for Cu Kα, from DFT lattice parameters and positions (PBE).
No peak broadening, texture or thermal motion is included.

```
data_Ta2CoNi7Ge2
_chemical_formula_sum 'Ta2 Co1 Ni7 Ge2'
_cell_length_a 14.777
_cell_length_b 14.777
_cell_length_c 14.777
_cell_angle_alpha 167.16
_cell_angle_beta 167.16
_cell_angle_gamma 18.20
_symmetry_space_group_name_H-M 'P 1'
_symmetry_Int_Tables_number 1
loop_
_symmetry_equiv_pos_as_xyz
'x,y,z'
loop_
_atom_site_label
_atom_site_fract_x
_atom_site_fract_y
_atom_site_fract_z
Ta1 0.132 0.132 0.000
Ta2 0.868 0.868 0.000
Co1 0.500 0.500 0.000
Ni1 0.000 0.000 0.000
Ni2 0.065 0.565 0.500
Ni3 0.226 0.226 0.000
Ni4 0.435 0.935 0.500
Ni5 0.565 0.065 0.500
Ni6 0.774 0.774 0.000
Ni7 0.935 0.435 0.500
Ge1 0.309 0.309 0.000
Ge2 0.691 0.691 0.000
```

The 10 most intense peaks (10 to 90 degrees two-theta), in order of rising 2θ:
- 2θ 27.15, rel. 46
- 2θ 31.10, rel. 45
- 2θ 34.63, rel. 45
- 2θ 38.52, rel. 53
- 2θ 39.03, rel. 40
- 2θ 42.93, rel. 56
- 2θ 43.75, rel. 100
- 2θ 46.13, rel. 95
- 2θ 55.61, rel. 73
- 2θ 73.31, rel. 42